Calculated X-ray powder pattern
Compound: Ho3Tm
Radiation: Cu Kα, 1.54184 Å
Structure: DFT lattice parameters and positions (GGA-PBE)

Crystal structure
Cell lengths 5.5579, 12.3873, 7.1517 Å; angles 90.00, 90.00, 90.00 degrees
Space group Ama2 (No. 40)
One atom of each set of equivalent atoms:
Ho 0.2500 0.0831 0.0000
Ho 0.2500 0.3334 0.2497
Ho 0.2500 0.3337 0.7495
Tm 0.2500 0.0832 0.4992

Top 10 peaks for 10 to 90 degrees two-theta, low angle first:
| d (Å) | 2θ/deg | I_rel |
| --- | --- | --- |
| 3.097 | 28.8 | 23.9 |
| 2.779 | 32.2 | 23.9 |
| 2.705 | 33.1 | 100.0 |
| 2.068 | 43.8 | 15.5 |
| 1.788 | 51.1 | 19.8 |
| 1.590 | 58.0 | 20.3 |
| 1.504 | 61.7 | 22.5 |
| 1.492 | 62.2 | 16.4 |
| 1.145 | 84.6 | 14.2 |
| 1.097 | 89.3 | 8.5 |